For NpCo3, a cell relaxed with GGA-PBE gives the theoretical X-ray powder pattern in this record (Cu Ka).
Intensities are scaled so that the largest is 100.

Most intense lines, 10° ≤ 2θ ≤ 90°, in order of rising 2θ:
index	2θ/deg	I (rel.)
1 0 0	23.98	52
1 1 0	34.16	44
1 1 1	42.17	100
2 0 0	49.09	48
2 1 0	55.35	24
2 1 1	61.17	18
2 2 0	71.96	30
3 0 0	77.09	12
3 1 0	82.12	8
3 1 1	87.08	37

Cell and atoms:
```
data_NpCo3
_cell_length_a 3.712
_cell_length_b 3.712
_cell_length_c 3.712
_cell_angle_alpha 90.00
_cell_angle_beta 90.00
_cell_angle_gamma 90.00
_space_group_name_H-M_alt 'P m -3 m'
_space_group_IT_number 221
_space_group_name_Hall '-P 4 2 3'
loop_
_atom_site_label
_atom_site_type_symbol
_atom_site_fract_x
_atom_site_fract_y
_atom_site_fract_z
Np1 Np 0.000 0.000 0.000
Co1 Co 0.000 0.500 0.500
```